Starting from a DFT-relaxed cell (GGA-PBE, Alexandria), the powder diffraction line list of Pr3Y4Ho4 was calculated for Cu Kα X-rays.

Principal peaks in the range 10° ≤ 2θ ≤ 90°, low angle first:
hkl  Position (°2θ)  intensity
0 1 5  25.2  36
1 2 1  30.0  100
0 4 0  31.8  45
1 1 4  32.6  59
0 2 6  33.0  41
0 3 5  33.9  34
1 3 2  36.0  20
1 2 5  38.4  25
1 5 4  51.8  30
1 4 9  61.4  16

Cell and atoms:
```
data_Pr3Y4Ho4
_cell_length_a 3.5736
_cell_length_b 11.2687
_cell_length_c 18.6173
_cell_angle_alpha 90.00
_cell_angle_beta 90.00
_cell_angle_gamma 90.00
_symmetry_space_group_name_H-M 'I m m m'
_symmetry_Int_Tables_number 71
_symmetry_space_group_name_Hall '-I 2 2'
loop_
_atom_site_label
_atom_site_type_symbol
_atom_site_fract_x
_atom_site_fract_y
_atom_site_fract_z
Pr1 Pr 0.0000 0.0000 0.0000
Pr2 Pr 0.0000 0.5000 0.1081
Y1 Y 0.0000 0.2607 0.3292
Ho1 Ho 0.0000 0.0000 0.2233
Ho2 Ho 0.0000 0.2085 0.5000
```

=====

Starting from a DFT-relaxed cell (GGA-PBE, Alexandria), the powder diffraction line list of Pr3Y7Ho2 was calculated for Cu Kα X-rays.

Principal peaks in the range 10° ≤ 2θ ≤ 90°, low angle first:
hkl  Position (°2θ)  intensity
0 6 0  12.9  25
1 3 1  29.9  45
0 14 0  30.3  25
0 12 1  30.4  45
1 5 1  31.1  81
1 9 0  31.3  42
0 0 2  31.7  79
1 7 1  32.9  100
0 14 1  34.3  60
1 9 2  45.2  30

Cell and atoms:
```
data_Pr3Y7Ho2
_cell_length_a 3.6523
_cell_length_b 41.2403
_cell_length_c 5.6462
_cell_angle_alpha 90.00
_cell_angle_beta 90.00
_cell_angle_gamma 90.00
_symmetry_space_group_name_H-M 'C m m m'
_symmetry_Int_Tables_number 65
_symmetry_space_group_name_Hall '-C 2 2'
loop_
_atom_site_label
_atom_site_type_symbol
_atom_site_fract_x
_atom_site_fract_y
_atom_site_fract_z
Pr1 Pr 0.0000 0.0000 0.0000
Pr2 Pr 0.0000 0.3308 0.5000
Y1 Y 0.0000 0.0854 0.5000
Y2 Y 0.0000 0.2151 0.0000
Y3 Y 0.0000 0.4323 0.0000
Y4 Y 0.0000 0.5000 0.5000
Ho1 Ho 0.0000 0.1367 0.0000
```

=====

Starting from a DFT-relaxed cell (GGA-PBE, Alexandria), the powder diffraction line list of Pr2Y12Ho was calculated for Cu Kα X-rays.

Principal peaks in the range 10° ≤ 2θ ≤ 90°, low angle first:
hkl  Position (°2θ)  intensity
2 0 4  29.0  46
0 2 7  29.6  73
2 2 2  30.5  86
0 4 0  31.3  100
2 2 3  31.6  36
0 2 8  32.7  84
2 2 4  33.0  79
2 2 6  36.8  47
2 4 4  43.2  31
2 4 11  58.1  30

Cell and atoms:
```
data_Pr2Y12Ho
_cell_length_a 7.0956
_cell_length_b 11.4245
_cell_length_c 24.9341
_cell_angle_alpha 90.00
_cell_angle_beta 90.00
_cell_angle_gamma 90.00
_symmetry_space_group_name_H-M 'C m m e'
_symmetry_Int_Tables_number 67
_symmetry_space_group_name_Hall '-C 2a 2'
loop_
_atom_site_label
_atom_site_type_symbol
_atom_site_fract_x
_atom_site_fract_y
_atom_site_fract_z
Pr1 Pr 0.0000 0.2500 0.2300
Pr2 Pr 0.0000 0.2500 0.7648
Y1 Y 0.0000 0.9997 0.4239
Y2 Y 0.0000 0.0144 0.0606
Y3 Y 0.2385 0.2500 0.9159
Y4 Y 0.2500 0.0000 0.1724
Y5 Y 0.2500 0.0000 0.3020
Y6 Y 0.2495 0.2500 0.3747
Ho1 Ho 0.0000 0.2500 0.4999
```